(1)
Li4Cr2Fe5O12: computed XRD peak list (a wavelength of 1.5418 Å), based on DFT lattice parameters and positions (GGA+U).

Most intense lines, 5 to 70 degrees two-theta, in order of rising 2θ:
two_theta, d_spacing, I_rel
18.35, 4.834, 38.2
23.57, 3.774, 34.3
42.54, 2.125, 100.0
43.62, 2.075, 47.5
62.44, 1.487, 26.5
62.70, 1.482, 25.6

Structure:
```
Li4Cr2Fe5O12
1.0
5.1242 0.0000 0.0000
0.0000 9.0797 0.0000
-1.8797 0.0000 9.6683
Li Cr Fe O
8 4 10 24
direct
0.0031 0.0000 0.2411
0.0087 0.8374 0.7577
0.2600 0.9994 0.9947
0.4946 0.8289 0.2429
0.5054 0.3289 0.7571
0.7400 0.4994 0.0053
0.9913 0.3374 0.2423
0.9969 0.5000 0.7589
0.2493 0.1636 0.5018
0.2523 0.6647 0.0038
0.7477 0.1647 0.9962
0.7507 0.6636 0.4982
0.0119 0.1559 0.7586
0.2494 0.3407 0.0047
0.2519 0.8383 0.5049
0.2595 0.4963 0.4976
0.4946 0.1650 0.2427
0.5054 0.6650 0.7573
0.7405 0.9963 0.5024
0.7481 0.3383 0.4951
0.7506 0.8407 0.9953
0.9881 0.6559 0.2414
0.1123 0.5069 0.1168
0.1133 0.8168 0.1236
0.1197 0.3203 0.6179
0.1245 0.0066 0.6207
0.1279 0.1758 0.1226
0.1306 0.6738 0.6221
0.3589 0.0066 0.3768
0.3653 0.6782 0.3847
0.3684 0.1828 0.8818
0.3686 0.5085 0.8800
0.3800 0.3126 0.3818
0.3842 0.8131 0.8822
0.6158 0.3131 0.1178
0.6200 0.8126 0.6182
0.6314 0.0085 0.1200
0.6316 0.6828 0.1182
0.6347 0.1782 0.6153
0.6411 0.5066 0.6232
0.8694 0.1738 0.3779
0.8721 0.6758 0.8774
0.8755 0.5066 0.3793
0.8803 0.8203 0.3821
0.8867 0.3168 0.8764
0.8877 0.0069 0.8832
```

(2)
Li3Cr4FeO8: computed XRD peak list (a wavelength of 1.5418 Å), based on DFT lattice parameters and positions (GGA+U).

Most intense lines, 5 to 70 degrees two-theta, in order of rising 2θ:
two_theta, d_spacing, I_rel
17.98, 4.934, 100.0
35.46, 2.531, 28.6
36.37, 2.470, 37.1
40.29, 2.238, 58.5
43.45, 2.083, 95.6
60.38, 1.533, 28.7

Structure:
```
Li3Cr4FeO8
1.0
5.3111 -2.9651 0.0000
5.3111 2.9651 0.0000
-3.1487 0.0000 4.9327
Li Cr Fe O
3 4 1 8
direct
0.0000 0.0000 0.0000
0.0000 0.5000 0.0000
0.5000 0.0000 0.0000
0.0000 0.0000 0.5000
0.0000 0.5000 0.5000
0.5000 0.0000 0.5000
0.5000 0.5000 0.0000
0.5000 0.5000 0.5000
0.2253 0.7387 0.7303
0.2309 0.2309 0.7198
0.2540 0.2540 0.2690
0.2613 0.7747 0.2697
0.7387 0.2253 0.7303
0.7460 0.7460 0.7310
0.7691 0.7691 0.2802
0.7747 0.2613 0.2697
```

(3)
Li3Cr2FeO6: computed XRD peak list (a wavelength of 1.5418 Å), based on DFT lattice parameters and positions (GGA+U).

Most intense lines, 5 to 70 degrees two-theta, in order of rising 2θ:
two_theta, d_spacing, I_rel
18.25, 4.861, 100.0
35.41, 2.535, 41.3
37.03, 2.428, 16.2
43.02, 2.103, 81.4
56.86, 1.619, 15.8
62.47, 1.487, 43.8

Structure:
```
Li3Cr2FeO6
1.0
6.4839 -1.4861 0.0000
6.4839 1.4861 0.0000
-1.3736 0.0000 5.7883
Li Cr Fe O
3 2 1 6
direct
0.0000 0.0000 0.0000
0.3329 0.3329 0.6665
0.6671 0.6671 0.3335
0.3330 0.3330 0.1662
0.6670 0.6670 0.8338
0.0000 0.0000 0.5000
0.1622 0.1622 0.5981
0.1728 0.1728 0.0688
0.4947 0.4947 0.2606
0.5053 0.5053 0.7394
0.8272 0.8272 0.9312
0.8378 0.8378 0.4019
```